# Li4Ti2Mn3O10
Simulated powder diffraction line list, CuKα. Input: a DFT-relaxed cell (GGA+U, Alexandria).
Kinematic intensities with the Lorentz-polarization factor, no thermal factor.

Crystal structure
a = 5.214 Å, b = 5.288 Å, c = 7.979 Å
α = 71.86°, β = 73.43°, γ = 77.71°
Sites, in units of the cell vectors:
Li: 0.124 0.076 0.251
Li: 0.254 0.970 0.894
Li: 0.746 0.030 0.106
Li: 0.876 0.924 0.749
Ti: 0.417 0.555 0.175
Ti: 0.583 0.445 0.825
Mn: 0.172 0.484 0.621
Mn: 0.500 0.000 0.500
Mn: 0.828 0.516 0.379
O: 0.090 0.775 0.163
O: 0.167 0.303 0.426
O: 0.268 0.728 0.723
O: 0.392 0.283 0.056
O: 0.495 0.250 0.677
O: 0.505 0.750 0.323
O: 0.608 0.717 0.944
O: 0.732 0.272 0.277
O: 0.833 0.697 0.574
O: 0.910 0.225 0.837

Largest 10 diffraction maxima, sorted by position, 2θ from 10° to 80°:
two_theta	d/Å	Rel. int.
12.01	7.369	60
17.85	4.969	100
21.95	4.049	26
25.95	3.433	18
26.54	3.359	30
30.45	2.936	41
40.21	2.243	53
42.35	2.134	53
43.68	2.072	53
60.29	1.535	13